Diffraction record for KNpCu2O6. The powder X-ray diffraction pattern is calculated, not measured: it uses a structure optimized by DFT (GGA-PBE) and Cu Kα, 1.54184 Å.

a b c (Å): 7.2149 7.2149 6.7838
angles (deg): 104.86 104.86 84.19
Sites, in units of the cell vectors:
K (0.1010, 0.8990, 0.7500)
K (0.8990, 0.1010, 0.2500)
Np (0.2935, 0.7065, 0.2500)
Np (0.7065, 0.2935, 0.7500)
Cu (0.2402, 0.3635, 0.8748)
Cu (0.3635, 0.2402, 0.3748)
Cu (0.6365, 0.7598, 0.6252)
Cu (0.7598, 0.6365, 0.1252)
O (0.0090, 0.7366, 0.2505)
O (0.2634, 0.9910, 0.2495)
O (0.2714, 0.6485, 0.9510)
O (0.2783, 0.3957, 0.1774)
O (0.3515, 0.7286, 0.5490)
O (0.3957, 0.2783, 0.6774)
O (0.6043, 0.7217, 0.3226)
O (0.6485, 0.2714, 0.4510)
O (0.7217, 0.6043, 0.8226)
O (0.7286, 0.3515, 0.0490)
O (0.7366, 0.0090, 0.7505)
O (0.9910, 0.2634, 0.7495)

Most intense lines, 2θ from 10° to 90°, in order of rising 2θ:
| 2θ (°) | I_rel |
| --- | --- |
| 16.5 | 100.0 |
| 17.7 | 21.3 |
| 21.0 | 21.0 |
| 25.6 | 51.8 |
| 26.0 | 38.3 |
| 28.0 | 20.9 |
| 33.7 | 34.6 |
| 50.9 | 21.4 |